Record 1
Starting from a PBE+U-relaxed structure, the powder diffraction line list of KP2W6O22 was computed for a wavelength of 1.5418 Å.
Lines closer than 0.1° are merged.

Peak list (12 most intense, 2θ from 15° to 90°, by angle)
| 2θ/deg | I/Imax | index |
| --- | --- | --- |
| 19.14 | 23 | 1 0 -2 |
| 22.35 | 100 | 1 1 1 |
| 25.08 | 41 | 1 0 -3 |
| 25.94 | 24 | 1 1 2 |
| 31.58 | 25 | 2 1 -1 |
| 32.85 | 17 | 0 2 0 |
| 33.84 | 40 | 0 1 4 |
| 45.62 | 14 | 2 2 2 |
| 48.98 | 11 | 2 2 3 |
| 51.97 | 12 | 3 1 -4 |
| 52.49 | 11 | 3 2 0 |
| 52.76 | 21 | 1 3 1 |

Cell and atoms:
Cell: 6.8106 5.4524 12.1390 Å, 90.00 92.75 90.00°
Space group Pm (No. 6)
Inequivalent atoms, fractional coordinates:
K 0.0000 0.0000 0.0000 x1
P 0.1953 0.5000 0.1005 x1
P 0.5275 0.0000 0.9054 x1
W 0.1893 0.0000 0.4413 x1
W 0.2183 0.5000 0.8171 x1
W 0.5076 0.0000 0.1880 x1
W 0.5319 0.5000 0.5622 x1
W 0.8527 0.5000 0.3110 x1
W 0.8690 0.0000 0.6927 x1
O 0.0092 0.5000 0.1673 x1
O 0.0183 0.2501 0.3702 x2
O 0.0308 0.0000 0.5740 x1
O 0.0412 0.2510 0.7743 x2
O 0.1158 0.5000 0.9767 x1
O 0.3129 0.2632 0.1203 x2
O 0.3593 0.0000 0.3091 x1
O 0.3614 0.2506 0.5027 x2
O 0.3630 0.5000 0.6950 x1
O 0.4046 0.2327 0.8842 x2
O 0.6059 0.0000 0.0289 x1
O 0.6815 0.2484 0.2318 x2
O 0.6904 0.5000 0.4312 x1
O 0.7029 0.2504 0.6344 x2
O 0.7127 0.0000 0.8377 x1

Record 2
Starting from a PBE+U-relaxed structure, the powder diffraction line list of K2RbPrV2O8 was computed for a wavelength of 1.5418 Å.
Lines closer than 0.1° are merged.

Peak list (12 most intense, 2θ from 15° to 90°, by angle)
| 2θ/deg | I/Imax | index |
| --- | --- | --- |
| 16.56 | 31 | 1 0 0 |
| 20.02 | 21 | 1 0 1 |
| 28.03 | 100 | 0 1 2 |
| 28.89 | 92 | 1 1 0 |
| 40.69 | 50 | 2 0 2 |
| 50.68 | 35 | 1 2 2 |
| 51.21 | 17 | 3 0 0 |
| 55.09 | 25 | 1 1 4 |
| 59.87 | 17 | 2 2 0 |
| 67.37 | 16 | 3 1 2 |
| 71.14 | 11 | 3 0 4 |
| 82.20 | 10 | 2 3 2 |

Cell and atoms:
Cell: 6.1800 6.1800 7.9189 Å, 90.00 90.00 120.00°
Space group P-3m1 (No. 164)
Inequivalent atoms, fractional coordinates:
K 0.3333 0.6667 0.2069 x2
Rb 0.0000 0.0000 0.5000 x1
Pr 0.0000 0.0000 0.0000 x1
V 0.3333 0.6667 0.7449 x2
O 0.1783 0.3566 0.8218 x6
O 0.3333 0.6667 0.5324 x2